Computed powder diffractogram of HfSe2O6 for copper Kα, from the PBE geometry in Alexandria.
Neutral-atom scattering factors, no anomalous dispersion.

The 10 most intense peaks (10 to 90 degrees two-theta), in order of rising 2θ:
2theta, I (rel.)
13.23, 68
20.27, 84
21.69, 63
26.64, 100
29.86, 91
34.61, 60
37.20, 46
44.20, 31
46.34, 26
54.26, 60

Structure:
```
data_HfSe2O6
_chemical_formula_sum 'Hf1 Se2 O6'
_space_group_name_H-M_alt 'P 1'
_space_group_IT_number 1
_space_group_name_Hall 'P 1'
_cell_length_a 7.330
_cell_length_b 7.330
_cell_length_c 7.330
_cell_angle_alpha 41.41
_cell_angle_beta 41.41
_cell_angle_gamma 41.41
loop_
_atom_site_label
_atom_site_fract_x
_atom_site_fract_y
_atom_site_fract_z
Hf1 0.000 0.000 0.000
Se1 0.234 0.234 0.234
Se2 0.433 0.433 0.433
O1 0.123 0.347 0.721
O2 0.223 0.995 0.593
O3 0.347 0.721 0.123
O4 0.593 0.223 0.995
O5 0.721 0.123 0.347
O6 0.995 0.593 0.223
```